Diffraction record for SmCuW2O8. The powder X-ray diffraction pattern is theoretical, not measured: it uses a cell relaxed with GGA+U and Cu Ka.

Largest 8 diffraction maxima, sorted by position, 5 to 70 degrees two-theta:
14.5 deg, d = 6.097 Å, I 43, (1 0 -1)
21.8 deg, d = 4.071 Å, I 36, (1 1 0)
24.4 deg, d = 3.654 Å, I 34, (0 1 1)
27.2 deg, d = 3.280 Å, I 48, (1 -2 0)
28.1 deg, d = 3.172 Å, I 60, (2 0 0)
29.3 deg, d = 3.048 Å, I 100, (0 2 -2)
33.9 deg, d = 2.646 Å, I 31, (2 -2 0)
50.2 deg, d = 1.816 Å, I 24, (4 0 -2)

Crystal structure
```
SmCuW2O8
1.0
7.2769 0.0000 0.0000
-0.2473 7.4515 0.0000
-3.2574 -3.2296 6.0102
Sm Cu W O
2 2 4 16
Direct
0.1827 0.2848 0.4600
0.8173 0.7152 0.5400
0.2229 0.6719 0.9577
0.7771 0.3281 0.0423
0.2722 0.2965 0.0378
0.3515 0.8962 0.7060
0.6485 0.1038 0.2940
0.7278 0.7035 0.9622
0.0547 0.3099 0.1033
0.1413 0.9901 0.8004
0.1744 0.6375 0.5485
0.1948 0.3605 0.8078
0.2890 0.9948 0.5132
0.3874 0.1711 0.2628
0.4674 0.5355 0.2669
0.4780 0.8261 0.0055
0.5220 0.1739 0.9945
0.5326 0.4645 0.7331
0.6126 0.8289 0.7372
0.7110 0.0052 0.4868
0.8052 0.6395 0.1922
0.8256 0.3625 0.4515
0.8587 0.0099 0.1996
0.9453 0.6901 0.8967
```



Diffraction record for Li3Fe3P4O16. The powder X-ray diffraction pattern is theoretical, not measured: it uses a cell relaxed with GGA+U and Cu Ka.

Largest 8 diffraction maxima, sorted by position, 5 to 70 degrees two-theta:
16.0 deg, d = 5.536 Å, I 100, (1 1 0)
20.3 deg, d = 4.365 Å, I 38, (1 0 2)
22.0 deg, d = 4.037 Å, I 51, (1 0 -2)
23.1 deg, d = 3.849 Å, I 40, (1 1 2)
23.3 deg, d = 3.819 Å, I 39, (1 -1 2)
24.7 deg, d = 3.606 Å, I 39, (-1 1 2)
25.8 deg, d = 3.452 Å, I 80, (2 1 0)
35.9 deg, d = 2.504 Å, I 35, (0 0 4)

Crystal structure
```
Li3Fe3P4O16
1.0
7.6757 0.0000 0.0000
0.0387 8.0229 0.0000
0.8545 0.0813 10.0211
Li Fe P O
6 6 8 32
Direct
0.0000 0.0000 0.0000
0.0147 0.0047 0.4997
0.2940 0.5056 0.3401
0.3120 0.5016 0.8411
0.5008 0.2305 0.7525
0.8139 0.7302 0.0873
0.3879 0.8740 0.7971
0.3944 0.8495 0.2912
0.5075 0.2235 0.2479
0.8022 0.7199 0.5985
0.9149 0.3560 0.5467
0.9277 0.3726 0.0425
0.1051 0.1685 0.2759
0.1083 0.1785 0.7779
0.2025 0.6656 0.5658
0.2071 0.6759 0.0590
0.6002 0.0484 0.0221
0.6103 0.0587 0.5329
0.7091 0.5507 0.8179
0.7090 0.5590 0.3101
0.0153 0.1716 0.6445
0.0209 0.1728 0.1415
0.0421 0.7856 0.5723
0.0537 0.7939 0.0729
0.1433 0.4895 0.5239
0.1569 0.4978 0.0160
0.1597 0.9964 0.8177
0.1648 0.9925 0.3191
0.2598 0.2960 0.7657
0.2653 0.2879 0.2656
0.2896 0.6754 0.6983
0.2969 0.6629 0.1920
0.3439 0.7211 0.4538
0.3545 0.7347 0.9500
0.4595 0.0067 0.1451
0.4613 0.0063 0.6361
0.5042 0.0566 0.8938
0.5319 0.0653 0.3933
0.5559 0.4328 0.3246
0.5586 0.4344 0.8258
0.6429 0.7325 0.2716
0.6487 0.2288 0.0729
0.6565 0.7322 0.7636
0.6807 0.2307 0.5713
0.7548 0.9340 0.0116
0.7609 0.9282 0.5185
0.7909 0.5594 0.4496
0.8054 0.5592 0.9449
0.8516 0.5148 0.6939
0.8537 0.5022 0.2049
0.9590 0.2314 0.8868
0.9667 0.2256 0.3875
```



What did the second record say?
Diffraction record for Li3Fe3P4O16. The powder X-ray diffraction pattern is theoretical, not measured: it uses a cell relaxed with GGA+U and Cu Ka.

Largest 8 diffraction maxima, sorted by position, 5 to 70 degrees two-theta:
16.0 deg, d = 5.536 Å, I 100, (1 1 0)
20.3 deg, d = 4.365 Å, I 38, (1 0 2)
22.0 deg, d = 4.037 Å, I 51, (1 0 -2)
23.1 deg, d = 3.849 Å, I 40, (1 1 2)
23.3 deg, d = 3.819 Å, I 39, (1 -1 2)
24.7 deg, d = 3.606 Å, I 39, (-1 1 2)
25.8 deg, d = 3.452 Å, I 80, (2 1 0)
35.9 deg, d = 2.504 Å, I 35, (0 0 4)

Crystal structure
```
Li3Fe3P4O16
1.0
7.6757 0.0000 0.0000
0.0387 8.0229 0.0000
0.8545 0.0813 10.0211
Li Fe P O
6 6 8 32
Direct
0.0000 0.0000 0.0000
0.0147 0.0047 0.4997
0.2940 0.5056 0.3401
0.3120 0.5016 0.8411
0.5008 0.2305 0.7525
0.8139 0.7302 0.0873
0.3879 0.8740 0.7971
0.3944 0.8495 0.2912
0.5075 0.2235 0.2479
0.8022 0.7199 0.5985
0.9149 0.3560 0.5467
0.9277 0.3726 0.0425
0.1051 0.1685 0.2759
0.1083 0.1785 0.7779
0.2025 0.6656 0.5658
0.2071 0.6759 0.0590
0.6002 0.0484 0.0221
0.6103 0.0587 0.5329
0.7091 0.5507 0.8179
0.7090 0.5590 0.3101
0.0153 0.1716 0.6445
0.0209 0.1728 0.1415
0.0421 0.7856 0.5723
0.0537 0.7939 0.0729
0.1433 0.4895 0.5239
0.1569 0.4978 0.0160
0.1597 0.9964 0.8177
0.1648 0.9925 0.3191
0.2598 0.2960 0.7657
0.2653 0.2879 0.2656
0.2896 0.6754 0.6983
0.2969 0.6629 0.1920
0.3439 0.7211 0.4538
0.3545 0.7347 0.9500
0.4595 0.0067 0.1451
0.4613 0.0063 0.6361
0.5042 0.0566 0.8938
0.5319 0.0653 0.3933
0.5559 0.4328 0.3246
0.5586 0.4344 0.8258
0.6429 0.7325 0.2716
0.6487 0.2288 0.0729
0.6565 0.7322 0.7636
0.6807 0.2307 0.5713
0.7548 0.9340 0.0116
0.7609 0.9282 0.5185
0.7909 0.5594 0.4496
0.8054 0.5592 0.9449
0.8516 0.5148 0.6939
0.8537 0.5022 0.2049
0.9590 0.2314 0.8868
0.9667 0.2256 0.3875
```